Simulated powder XRD pattern of Li3SbS4 for Cu Kα (weighted mean of Kα1 and Kα2), from a crystal structure in Alexandria, relaxed with PBE.
Neutral-atom scattering factors, no anomalous dispersion.

Structural model:
a = 5.7049 Å, b = 5.7049 Å, c = 10.9912 Å
α = 90.00°, β = 90.00°, γ = 90.00°
Space group I-42m (No. 121)
Inequivalent atoms, fractional coordinates:
Li: 0.0000 0.0000 0.0000 [2 per cell]
Li: 0.0000 0.5000 0.2500 [4 per cell]
Sb: 0.0000 0.0000 0.5000 [2 per cell]
S: 0.2392 0.2392 0.3742 [8 per cell]

The 8 most intense peaks (2θ from 15° to 90°), in order of rising 2θ:
2theta, I (rel.), hkl
16.13, 26, 0 0 2
17.51, 100, 1 0 1
22.03, 26, 1 1 0
27.43, 84, 1 1 2
28.96, 23, 1 0 3
36.14, 26, 2 1 1
45.85, 37, 2 0 4
53.46, 23, 3 1 2

=====

Simulated powder XRD pattern of Li9Sb3S for Cu Kα (weighted mean of Kα1 and Kα2), from a crystal structure in Alexandria, relaxed with PBE.
Neutral-atom scattering factors, no anomalous dispersion.

Structural model:
a = 7.2034 Å, b = 9.3356 Å, c = 15.0528 Å
α = 90.00°, β = 103.55°, γ = 90.00°
Space group P2_1/c (No. 14)
Inequivalent atoms, fractional coordinates:
Li: 0.0091 0.2049 0.1310 [4 per cell]
Li: 0.0128 0.5755 0.7490 [4 per cell]
Li: 0.1018 0.2344 0.9510 [4 per cell]
Li: 0.2488 0.0104 0.4126 [4 per cell]
Li: 0.2753 0.7162 0.1912 [4 per cell]
Li: 0.3589 0.5213 0.4079 [4 per cell]
Li: 0.3756 0.2287 0.1365 [4 per cell]
Li: 0.3770 0.7164 0.0229 [4 per cell]
Li: 0.4449 0.5294 0.7690 [4 per cell]
Sb: 0.1501 0.0260 0.5834 [4 per cell]
Sb: 0.1964 0.5341 0.5670 [4 per cell]
Sb: 0.3203 0.2444 0.8159 [4 per cell]
S: 0.2955 0.7213 0.8490 [4 per cell]

The 8 most intense peaks (2θ from 15° to 90°), in order of rising 2θ:
2theta, I (rel.), hkl
15.34, 55, 1 0 -2
22.59, 71, 0 2 2
24.51, 100, 1 2 -2
24.67, 50, 1 0 -4
25.47, 56, 2 0 0
27.36, 52, 1 2 2
30.09, 44, 1 0 4
41.76, 54, 0 2 6

=====

Simulated powder XRD pattern of Li7Sb2S2 for Cu Kα (weighted mean of Kα1 and Kα2), from a crystal structure in Alexandria, relaxed with PBE.
Neutral-atom scattering factors, no anomalous dispersion.

Structural model:
a = 5.7138 Å, b = 8.8154 Å, c = 8.8420 Å
α = 78.18°, β = 84.27°, γ = 86.12°
Space group P-1 (No. 2)
Inequivalent atoms, fractional coordinates:
Li: 0.0021 0.0650 0.1263 [2 per cell]
Li: 0.0103 0.7515 0.3038 [2 per cell]
Li: 0.0342 0.1357 0.4145 [2 per cell]
Li: 0.1513 0.6276 0.9881 [2 per cell]
Li: 0.4671 0.3776 0.8281 [2 per cell]
Li: 0.4797 0.8226 0.5570 [2 per cell]
Li: 0.4926 0.9700 0.8431 [2 per cell]
Sb: 0.1365 0.5556 0.6109 [2 per cell]
Sb: 0.2563 0.3430 0.1812 [2 per cell]
S: 0.2374 0.0364 0.6368 [2 per cell]
S: 0.2682 0.8450 0.0796 [2 per cell]

The 8 most intense peaks (2θ from 15° to 90°), in order of rising 2θ:
2theta, I (rel.), hkl
15.92, 46, 0 1 -1
18.29, 21, 1 1 0
24.85, 100, 0 2 -1
24.93, 24, 1 1 2
25.19, 39, 1 2 1
27.05, 42, 1 0 -2
27.51, 40, -1 2 1
43.04, 21, 0 4 2

=====

Please write out number 2 again, unchanged.
Simulated powder XRD pattern of Li9Sb3S for Cu Kα (weighted mean of Kα1 and Kα2), from a crystal structure in Alexandria, relaxed with PBE.
Neutral-atom scattering factors, no anomalous dispersion.

Structural model:
a = 7.2034 Å, b = 9.3356 Å, c = 15.0528 Å
α = 90.00°, β = 103.55°, γ = 90.00°
Space group P2_1/c (No. 14)
Inequivalent atoms, fractional coordinates:
Li: 0.0091 0.2049 0.1310 [4 per cell]
Li: 0.0128 0.5755 0.7490 [4 per cell]
Li: 0.1018 0.2344 0.9510 [4 per cell]
Li: 0.2488 0.0104 0.4126 [4 per cell]
Li: 0.2753 0.7162 0.1912 [4 per cell]
Li: 0.3589 0.5213 0.4079 [4 per cell]
Li: 0.3756 0.2287 0.1365 [4 per cell]
Li: 0.3770 0.7164 0.0229 [4 per cell]
Li: 0.4449 0.5294 0.7690 [4 per cell]
Sb: 0.1501 0.0260 0.5834 [4 per cell]
Sb: 0.1964 0.5341 0.5670 [4 per cell]
Sb: 0.3203 0.2444 0.8159 [4 per cell]
S: 0.2955 0.7213 0.8490 [4 per cell]

The 8 most intense peaks (2θ from 15° to 90°), in order of rising 2θ:
2theta, I (rel.), hkl
15.34, 55, 1 0 -2
22.59, 71, 0 2 2
24.51, 100, 1 2 -2
24.67, 50, 1 0 -4
25.47, 56, 2 0 0
27.36, 52, 1 2 2
30.09, 44, 1 0 4
41.76, 54, 0 2 6

=====

- Which formula does entry 2 have?
  Li9Sb3S